For Cs2Cu3NiF10, a cell relaxed with PBE+U gives the calculated XRD peak list in this record (a wavelength of 1.5418 Å).
Neutral-atom scattering factors, no anomalous dispersion.

Structure:
```
data_Cs2Cu3NiF10
_chemical_formula_sum 'Cs2 Cu3 Ni1 F10'
_symmetry_space_group_name_H-M 'P -1'
_symmetry_Int_Tables_number 2
_cell_length_a 6.6709
_cell_length_b 6.9407
_cell_length_c 7.2069
_cell_angle_alpha 98.90
_cell_angle_beta 117.11
_cell_angle_gamma 110.65
loop_
_symmetry_equiv_pos_as_xyz
'x,y,z'
'-x,-y,-z'
loop_
_atom_site_label
_atom_site_fract_x
_atom_site_fract_y
_atom_site_fract_z
Cs1 0.2293 0.3705 0.1272
Cu1 0.0000 0.0000 0.5000
Cu2 0.0000 0.5000 0.5000
Cu3 0.5000 0.0000 0.5000
Ni1 0.5000 0.0000 0.0000
F1 0.1400 0.7077 0.3953
F2 0.1865 0.0260 0.8026
F3 0.2984 0.6646 0.8082
F4 0.3156 0.1737 0.5182
F5 0.3476 0.9434 0.1863
```

Largest 8 diffraction maxima, in order of rising 2θ, 2θ from 15° to 90°:
2θ 24.7, d = 3.604 Å, intensity 72, hkl 0 1 1
2θ 27.5, d = 3.242 Å, intensity 100, hkl 1 1 0
2θ 27.7, d = 3.217 Å, intensity 55, hkl 0 2 -1
2θ 28.0, d = 3.183 Å, intensity 62, hkl 0 1 -2
2θ 30.1, d = 2.966 Å, intensity 55, hkl 2 -1 0
2θ 30.7, d = 2.908 Å, intensity 67, hkl 2 0 -2
2θ 31.1, d = 2.873 Å, intensity 49, hkl -1 2 1
2θ 32.9, d = 2.724 Å, intensity 99, hkl -2 2 1